1.
Tl2NiBi2: calculated powder diffractogram (Cu Ka), based on a DFT-relaxed cell (PBE, Alexandria).

Peak list (10 most intense, 2θ = 10–80°, low angle first)
2θ (°)	I (rel.)
25.52	12
30.10	31
32.40	100
40.89	16
51.60	17
54.93	23
56.53	19
64.79	10
73.63	9
75.01	10

Structure:
```
10
Lattice="6.9795 0.0000 0.0000 0.0000 6.9795 0.0000 0.0000 0.0000 5.9376" Properties=species:S:1:pos:R:3 pbc="T T T"
Tl 1.1891 2.3007 0.0000
Tl 2.3007 5.7905 0.0000
Tl 4.6789 1.1891 0.0000
Tl 5.7905 4.6789 0.0000
Ni 0.0000 0.0000 2.9688
Ni 3.4898 3.4898 2.9688
Bi 1.1044 4.5942 2.9688
Bi 2.3854 1.1044 2.9688
Bi 4.5942 5.8751 2.9688
Bi 5.8751 2.3854 2.9688
```

2.
Ho3Ni7As4: calculated powder diffractogram (Cu Ka), based on a DFT-relaxed cell (PBE, Alexandria).

Peak list (10 most intense, 2θ = 10–80°, low angle first)
2θ (°)	I (rel.)
31.79	45
37.04	20
37.42	83
37.72	55
38.01	100
40.20	20
40.98	18
44.05	19
45.19	29
45.94	52

Structure:
```
14
Lattice="7.4209 -1.9754 0.0000 7.4209 1.9754 0.0000 -5.2503 0.0000 7.2806" Properties=species:S:1:pos:R:3 pbc="T T T"
Ho 0.0000 0.0000 0.0000
Ho 3.0440 0.0000 2.4173
Ho 6.5475 0.0000 4.8633
Ni -2.6252 0.0000 3.6403
Ni -0.0008 0.0000 2.9678
Ni -0.4890 0.0000 7.0787
Ni 3.6039 0.0000 5.1925
Ni 5.9877 0.0000 2.0881
Ni 10.0806 0.0000 0.2019
Ni 9.5924 0.0000 4.3128
As -2.6823 0.0000 6.0336
As 1.1903 0.0000 5.2478
As 8.4012 0.0000 2.0328
As 12.2739 0.0000 1.2470
```

3.
Sm5Ni6: calculated powder diffractogram (Cu Ka), based on a DFT-relaxed cell (PBE, Alexandria).

Peak list (10 most intense, 2θ = 10–80°, low angle first)
2θ (°)	I (rel.)
26.81	35
31.82	28
33.15	100
34.45	54
39.00	27
41.54	23
43.18	18
43.93	28
46.94	23
56.99	25

Structure:
```
11
Lattice="2.0611 -14.0708 0.0000 2.0611 14.0708 0.0000 0.0000 0.0000 3.8713" Properties=species:S:1:pos:R:3 pbc="T T T"
Sm 0.0000 0.0000 0.0000
Sm 2.0611 8.5226 1.9357
Sm 2.0611 3.1918 0.0000
Sm 2.0611 -3.1918 0.0000
Sm 2.0611 -8.5226 1.9357
Ni 2.0611 11.5965 1.9357
Ni 2.0611 6.2940 0.0000
Ni 2.0611 1.1628 1.9357
Ni 2.0611 -1.1628 1.9357
Ni 2.0611 -6.2940 0.0000
Ni 2.0611 -11.5965 1.9357
```

4.
Sm3Te3H2: calculated powder diffractogram (Cu Ka), based on a DFT-relaxed cell (PBE, Alexandria).

Peak list (10 most intense, 2θ = 10–80°, low angle first)
2θ (°)	I (rel.)
23.80	26
28.39	74
31.51	50
31.90	77
32.02	27
32.28	100
32.68	61
36.30	59
44.42	38
46.59	47

Structure:
```
16
Lattice="2.0396 -5.6726 0.0000 2.0396 5.6726 0.0000 0.0000 0.0000 16.4422" Properties=species:S:1:pos:R:3 pbc="T T T"
Sm 2.0396 4.2322 12.3317
Sm 2.0396 3.9613 1.0167
Sm 2.0396 3.9613 7.2045
Sm 2.0396 -3.9613 9.2378
Sm 2.0396 -3.9613 15.4256
Sm 2.0396 -4.2322 4.1106
Te 2.0396 3.8418 4.1106
Te 2.0396 0.7248 1.7101
Te 2.0396 0.7248 6.5111
Te 2.0396 -0.7248 9.9312
Te 2.0396 -0.7248 14.7322
Te 2.0396 -3.8418 12.3317
H 2.0396 2.6259 9.0362
H 2.0396 2.6259 15.6272
H 2.0396 -2.6259 0.8150
H 2.0396 -2.6259 7.4061
```

Copy entry 4 word for word.
Sm3Te3H2: calculated powder diffractogram (Cu Ka), based on a DFT-relaxed cell (PBE, Alexandria).

Peak list (10 most intense, 2θ = 10–80°, low angle first)
2θ (°)	I (rel.)
23.80	26
28.39	74
31.51	50
31.90	77
32.02	27
32.28	100
32.68	61
36.30	59
44.42	38
46.59	47

Structure:
```
16
Lattice="2.0396 -5.6726 0.0000 2.0396 5.6726 0.0000 0.0000 0.0000 16.4422" Properties=species:S:1:pos:R:3 pbc="T T T"
Sm 2.0396 4.2322 12.3317
Sm 2.0396 3.9613 1.0167
Sm 2.0396 3.9613 7.2045
Sm 2.0396 -3.9613 9.2378
Sm 2.0396 -3.9613 15.4256
Sm 2.0396 -4.2322 4.1106
Te 2.0396 3.8418 4.1106
Te 2.0396 0.7248 1.7101
Te 2.0396 0.7248 6.5111
Te 2.0396 -0.7248 9.9312
Te 2.0396 -0.7248 14.7322
Te 2.0396 -3.8418 12.3317
H 2.0396 2.6259 9.0362
H 2.0396 2.6259 15.6272
H 2.0396 -2.6259 0.8150
H 2.0396 -2.6259 7.4061
```

Please write out number 2 again, unchanged.
Ho3Ni7As4: calculated powder diffractogram (Cu Ka), based on a DFT-relaxed cell (PBE, Alexandria).

Peak list (10 most intense, 2θ = 10–80°, low angle first)
2θ (°)	I (rel.)
31.79	45
37.04	20
37.42	83
37.72	55
38.01	100
40.20	20
40.98	18
44.05	19
45.19	29
45.94	52

Structure:
```
14
Lattice="7.4209 -1.9754 0.0000 7.4209 1.9754 0.0000 -5.2503 0.0000 7.2806" Properties=species:S:1:pos:R:3 pbc="T T T"
Ho 0.0000 0.0000 0.0000
Ho 3.0440 0.0000 2.4173
Ho 6.5475 0.0000 4.8633
Ni -2.6252 0.0000 3.6403
Ni -0.0008 0.0000 2.9678
Ni -0.4890 0.0000 7.0787
Ni 3.6039 0.0000 5.1925
Ni 5.9877 0.0000 2.0881
Ni 10.0806 0.0000 0.2019
Ni 9.5924 0.0000 4.3128
As -2.6823 0.0000 6.0336
As 1.1903 0.0000 5.2478
As 8.4012 0.0000 2.0328
As 12.2739 0.0000 1.2470
```